Structure and computed X-ray powder pattern of Dy3In4Co2 (DFT lattice parameters and positions (PBE); Cu Ka).
Peak positions follow from Bragg's law for the DFT cell and can differ from measured ones.

Principal peaks in the range 2θ from 15° to 90°, in order of rising 2θ:
h k l, two_theta, Rel. int.
1 1 1, 33.63, 100
2 1 0, 34.65, 70
2 0 1, 36.17, 59
3 0 0, 39.47, 31
1 2 1, 43.01, 26
0 0 2, 50.62, 17
1 3 1, 54.60, 16
4 0 1, 59.79, 12
2 1 2, 62.80, 24
3 2 1, 64.71, 29
3 0 2, 66.02, 13
1 1 3, 84.15, 13

abc: 7.909 7.909 3.607
angles: 90.00 90.00 120.00
Fractional positions:
1 Dy 0.042 0.421 0.000
2 Dy 0.379 0.958 0.000
3 Dy 0.579 0.621 0.000
4 In 0.255 0.251 0.500
5 In 0.667 0.333 0.500
6 In 0.749 0.004 0.500
7 In 0.996 0.745 0.500
8 Co 0.000 0.000 0.000
9 Co 0.333 0.667 0.500